Ac3Au2N: computed powder X-ray diffraction pattern (Cu Kα (λ = 1.5418 Å)), based on a DFT-relaxed cell (PBE, Alexandria).
Lines closer than 0.1° are merged.

Top 12 peaks for 2θ = 10–90°, sorted by position:
2theta  I (rel.)  index
24.67  33.7  1 1 2
26.34  23.5  1 0 5
27.63  19.2  2 0 4
28.72  75.7  2 1 1
29.44  33.2  0 0 6
29.67  23.9  3 0 1
30.01  100.0  2 1 2
32.04  39.5  0 1 5
33.55  20.2  1 1 5
34.60  20.2  2 1 4
37.73  24.5  2 1 5
41.50  38.0  0 2 0

```
24
Lattice="9.1599 0.0000 0.0000 0.0000 4.3519 0.0000 0.0000 0.0000 18.2042" Properties=species:S:1:pos:R:3 pbc="T T T"
Ac 0.0048 1.0880 1.8663
Ac 1.2489 3.2639 7.7561
Ac 1.6672 1.0880 13.4214
Ac 2.9128 3.2639 4.3193
Ac 3.3311 1.0880 16.8582
Ac 4.5752 3.2639 10.9684
Ac 4.5848 1.0880 7.2358
Ac 5.8289 3.2639 1.3460
Ac 6.2472 1.0880 13.8848
Ac 7.4928 3.2639 4.7827
Ac 7.9110 1.0880 10.4481
Ac 9.1552 3.2639 16.3378
Au 0.6717 1.0880 5.2493
Au 2.1793 1.0880 9.9757
Au 2.4007 3.2639 0.8737
Au 3.9083 3.2639 14.3514
Au 5.2516 1.0880 3.8528
Au 6.7593 1.0880 17.3305
Au 6.9807 3.2639 8.2284
Au 8.4883 3.2639 12.9549
N 1.1576 1.0880 15.8405
N 3.4224 3.2639 6.7385
N 5.7376 1.0880 11.4657
N 8.0023 3.2639 2.3636
```